This entry pairs a crystal structure of RbPm2Fe2O6 with its computed X-ray diffraction stick pattern. Radiation: Cu Kα X-rays. Structure: a crystal structure in Alexandria, relaxed with GGA+U.
Neutral-atom scattering factors, no anomalous dispersion.

Crystal structure
```
data_RbPm2Fe2O6
_cell_length_a 6.3495
_cell_length_b 6.4921
_cell_length_c 6.5344
_cell_angle_alpha 112.07
_cell_angle_beta 116.94
_cell_angle_gamma 98.27
_space_group_name_H-M_alt 'P -1'
_space_group_IT_number 2
loop_
_space_group_symop_operation_xyz
'x,y,z'
'-x,-y,-z'
loop_
_atom_site_label
_atom_site_type_symbol
_atom_site_fract_x
_atom_site_fract_y
_atom_site_fract_z
Rb1 Rb 0.0000 0.0000 0.0000
Pm1 Pm 0.3075 0.9492 0.6420
Fe1 Fe 0.4491 0.4561 0.6920
O1 O 0.1204 0.2232 0.5222
O2 O 0.3707 0.7464 0.3118
O3 O 0.4725 0.2200 0.1049
```

Top 6 peaks for 15° ≤ 2θ ≤ 90°, by angle:
| d_spacing | Position (°2θ) | I (rel.) |
| --- | --- | --- |
| 5.565 | 15.93 | 100 |
| 3.139 | 28.43 | 56 |
| 3.017 | 29.61 | 88 |
| 2.918 | 30.64 | 70 |
| 2.847 | 31.43 | 52 |
| 2.592 | 34.61 | 45 |